[1]
Structure and simulated X-ray powder pattern of Dy4ErCu5 (a DFT-relaxed cell (PBE, Alexandria); Cu Kα).

Main lines, in order of falling intensity (2θ = 10–80°):
2θ (°)	intensity
36.65	100.0
36.92	49.0
66.35	34.2
25.88	19.3
65.81	17.5
53.21	16.9
77.92	10.7
25.50	10.0
45.41	8.9
52.38	8.8

Structural model:
```
10
Lattice="3.443 0.000 0.000 0.000 3.443 0.000 0.000 0.000 17.467" Properties=species:S:1:pos:R:3 pbc="T T T"
Dy 0.000 0.000 1.752
Dy 0.000 0.000 5.259
Dy 0.000 0.000 12.208
Dy 0.000 0.000 15.715
Er 0.000 0.000 8.734
Cu 1.721 1.721 0.000
Cu 1.721 1.721 3.503
Cu 1.721 1.721 7.025
Cu 1.721 1.721 10.442
Cu 1.721 1.721 13.964
```

---

[2]
Structure and simulated X-ray powder pattern of KDyCuF6 (a DFT-relaxed cell (PBE, Alexandria); Cu Kα).

Main lines, in order of falling intensity (2θ = 10–80°):
2θ (°)	intensity
14.75	100.0
28.52	51.9
29.75	51.1
50.07	48.8
30.05	42.1
38.13	33.1
28.97	26.5
28.29	24.7
17.44	21.3
14.90	20.8

Structural model:
```
18
Lattice="-3.666 3.721 5.084 3.666 -3.721 5.084 3.666 3.721 -5.084" Properties=species:S:1:pos:R:3 pbc="T T T"
K 0.000 1.860 1.634
K 3.666 1.860 3.450
Dy 1.833 1.860 -2.542
Dy 1.833 -1.860 2.542
Cu 3.666 0.000 0.000
Cu 0.000 0.000 5.084
F 3.666 -1.860 3.830
F 3.666 1.860 -1.209
F 2.234 0.142 1.344
F 5.098 0.142 1.344
F 2.234 3.863 -1.344
F 1.432 0.142 3.740
F 2.234 3.579 1.344
F 1.432 -0.142 6.429
F -1.432 3.579 3.740
F 1.432 3.579 3.740
F 0.000 1.860 6.294
F 0.000 5.581 1.254
```

---

[3]
Structure and simulated X-ray powder pattern of Dy2GaCu3 (a DFT-relaxed cell (PBE, Alexandria); Cu Kα).

Main lines, in order of falling intensity (2θ = 10–80°):
2θ (°)	intensity
34.53	100.0
48.22	32.1
36.92	31.7
37.94	22.9
67.88	22.3
29.47	19.8
44.75	19.8
28.18	13.8
62.20	13.5
47.42	12.9

Structural model:
```
6
Lattice="-1.889 2.025 7.617 1.889 -2.025 7.617 1.889 2.025 -7.617" Properties=species:S:1:pos:R:3 pbc="T T T"
Dy 0.000 0.000 0.000
Dy 0.000 2.025 3.968
Ga 0.000 0.000 9.015
Cu 1.889 0.000 2.672
Cu 1.889 0.000 5.096
Cu 0.000 0.000 6.542
```

---

[4]
Structure and simulated X-ray powder pattern of DyGaCu6 (a DFT-relaxed cell (PBE, Alexandria); Cu Kα).

Main lines, in order of falling intensity (2θ = 10–80°):
2θ (°)	intensity
45.42	100.0
41.27	79.1
72.27	47.9
36.75	46.3
69.26	16.4
25.76	14.8
78.16	13.9
18.14	12.1
31.68	7.5
56.43	3.7

Structural model:
```
8
Lattice="4.891 0.000 0.000 0.000 4.891 0.000 0.000 0.000 4.891" Properties=species:S:1:pos:R:3 pbc="T T T"
Dy 0.000 0.000 0.000
Ga 2.446 2.446 2.446
Cu 0.000 1.262 2.446
Cu 0.000 3.630 2.446
Cu 1.262 2.446 0.000
Cu 2.446 0.000 1.262
Cu 2.446 0.000 3.630
Cu 3.630 2.446 0.000
```

---

[5]
Structure and simulated X-ray powder pattern of Dy2Ga3Cu (a DFT-relaxed cell (PBE, Alexandria); Cu Kα).

Main lines, in order of falling intensity (2θ = 10–80°):
2θ (°)	intensity
34.30	100.0
41.21	56.5
54.66	26.2
70.69	24.0
23.45	20.2
67.23	15.5
75.12	9.3
44.61	8.2
50.60	6.2
56.49	5.9

Structural model:
```
6
Lattice="4.381 0.000 0.000 -2.190 3.794 0.000 0.000 0.000 7.215" Properties=species:S:1:pos:R:3 pbc="T T T"
Dy 0.000 0.000 0.000
Dy 0.000 0.000 3.397
Ga 0.000 2.529 1.580
Ga 0.000 2.529 5.639
Ga 2.190 1.265 4.979
Cu 2.190 1.265 1.951
```

---

[6]
Structure and simulated X-ray powder pattern of Dy3Ga3Cu (a DFT-relaxed cell (PBE, Alexandria); Cu Kα).

Main lines, in order of falling intensity (2θ = 10–80°):
2θ (°)	intensity
32.54	100.0
40.21	69.3
32.26	68.3
41.61	60.4
33.82	52.9
32.79	45.0
32.91	35.8
37.14	31.0
40.62	27.7
54.66	26.9

Structural model:
```
14
Lattice="5.302 -2.170 0.000 5.302 2.170 0.000 -5.008 0.000 13.327" Properties=species:S:1:pos:R:3 pbc="T T T"
Dy -1.480 0.000 5.126
Dy -3.536 0.000 12.293
Dy 1.456 0.000 3.044
Dy 4.141 0.000 10.283
Dy 9.133 0.000 1.034
Dy 7.077 0.000 8.201
Ga 1.590 0.000 6.082
Ga -0.517 0.000 12.316
Ga 1.080 0.000 10.212
Ga 4.517 0.000 3.115
Ga 6.114 0.000 1.011
Ga 4.006 0.000 7.245
Cu -0.379 0.000 8.079
Cu 5.976 0.000 5.248
```

---

[7]
Structure and simulated X-ray powder pattern of Dy2Ga6Cu (a DFT-relaxed cell (PBE, Alexandria); Cu Kα).

Main lines, in order of falling intensity (2θ = 10–80°):
2θ (°)	intensity
34.23	100.0
41.26	29.8
33.46	26.5
43.19	26.0
48.84	18.1
37.71	17.2
65.80	14.6
42.48	14.1
67.21	13.7
24.19	13.2

Structural model:
```
9
Lattice="3.730 0.000 0.000 0.000 2.095 11.545 0.000 -2.095 11.545" Properties=species:S:1:pos:R:3 pbc="T T T"
Dy 0.000 0.000 0.000
Dy 0.000 0.000 7.702
Ga 0.000 0.000 14.403
Ga 0.000 0.000 17.024
Ga 1.865 0.000 2.578
Ga 1.865 0.000 5.143
Ga 1.865 0.000 10.256
Ga 1.865 0.000 20.362
Cu 1.865 0.000 12.685
```

---

[8]
Structure and simulated X-ray powder pattern of Dy3Ga8Cu3 (a DFT-relaxed cell (PBE, Alexandria); Cu Kα).

Main lines, in order of falling intensity (2θ = 10–80°):
2θ (°)	intensity
35.79	100.0
35.66	46.8
42.42	44.6
37.06	31.7
36.02	28.4
34.63	24.7
30.07	23.6
38.58	22.9
70.06	20.4
73.26	17.6

Structural model:
```
14
Lattice="-2.131 4.682 6.218 2.131 -4.682 6.218 2.131 4.682 -6.218" Properties=species:S:1:pos:R:3 pbc="T T T"
Dy 0.000 0.000 0.000
Dy 0.000 0.000 3.756
Dy 0.000 0.000 8.680
Ga 2.131 -1.275 1.919
Ga 2.131 -1.972 4.584
Ga 2.131 1.275 1.919
Ga 0.000 2.710 1.634
Ga 2.131 1.972 4.584
Ga 0.000 3.407 4.299
Ga 0.000 6.654 1.634
Ga 0.000 5.957 4.299
Cu 2.131 2.963 0.000
Cu 0.000 4.682 0.000
Cu 0.000 1.719 6.218
```

---

[9]
Structure and simulated X-ray powder pattern of Dy4Ga16Cu3 (a DFT-relaxed cell (PBE, Alexandria); Cu Kα).

Main lines, in order of falling intensity (2θ = 10–80°):
2θ (°)	intensity
38.02	100.0
41.12	94.2
59.56	49.0
33.15	45.3
31.85	30.1
72.86	24.5
20.22	18.4
44.06	17.1
29.90	13.4
74.94	12.4

Structural model:
```
23
Lattice="6.211 0.000 0.000 0.000 6.211 0.000 0.000 0.000 10.967" Properties=species:S:1:pos:R:3 pbc="T T T"
Dy 0.000 3.105 2.088
Dy 0.000 3.105 8.879
Dy 3.105 0.000 2.088
Dy 3.105 0.000 8.879
Ga 0.000 0.000 2.192
Ga 0.000 0.000 8.775
Ga 1.329 1.329 0.000
Ga 1.329 4.881 0.000
Ga 1.508 1.508 4.157
Ga 1.508 1.508 6.809
Ga 1.508 4.703 4.157
Ga 1.508 4.703 6.809
Ga 3.105 3.105 2.540
Ga 3.105 3.105 8.427
Ga 4.703 1.508 4.157
Ga 4.703 1.508 6.809
Ga 4.703 4.703 4.157
Ga 4.703 4.703 6.809
Ga 4.881 1.329 0.000
Ga 4.881 4.881 0.000
Cu 0.000 3.105 5.483
Cu 3.105 0.000 5.483
Cu 3.105 3.105 0.000
```

---

[10]
Structure and simulated X-ray powder pattern of DyGa8Cu2 (a DFT-relaxed cell (PBE, Alexandria); Cu Kα).

Main lines, in order of falling intensity (2θ = 10–80°):
2θ (°)	intensity
43.79	100.0
25.74	56.3
40.33	54.1
35.78	38.3
31.63	30.6
62.96	28.7
42.89	25.0
21.49	24.9
48.46	19.8
75.72	18.9

Structural model:
```
11
Lattice="6.326 0.000 0.000 0.000 6.326 0.000 0.000 0.000 5.464" Properties=species:S:1:pos:R:3 pbc="T T T"
Dy 0.000 0.000 0.000
Ga 1.832 1.832 1.366
Ga 1.832 1.832 4.098
Ga 1.832 4.494 1.366
Ga 1.832 4.494 4.098
Ga 4.494 1.832 1.366
Ga 4.494 1.832 4.098
Ga 4.494 4.494 1.366
Ga 4.494 4.494 4.098
Cu 0.000 3.163 2.732
Cu 3.163 0.000 2.732
```

---

[11]
Structure and simulated X-ray powder pattern of DyGa2Cu6 (a DFT-relaxed cell (PBE, Alexandria); Cu Kα).

Main lines, in order of falling intensity (2θ = 10–80°):
2θ (°)	intensity
38.08	100.0
32.86	95.4
45.77	91.7
41.91	66.3
73.27	39.8
44.56	35.7
53.82	30.8
53.46	26.3
30.06	18.8
72.37	16.9

Structural model:
```
9
Lattice="-1.704 3.405 6.100 1.704 -3.405 6.100 1.704 3.405 -6.100" Properties=species:S:1:pos:R:3 pbc="T T T"
Dy 0.000 0.000 0.000
Ga 1.704 0.000 4.392
Ga 0.000 3.405 1.707
Cu 1.704 1.262 -2.212
Cu 1.704 2.247 0.000
Cu 1.704 1.262 2.212
Cu 0.000 2.144 3.888
Cu 0.000 1.159 6.100
Cu 0.000 2.144 8.312
```

---

[12]
Structure and simulated X-ray powder pattern of Dy3Ga5Cu6 (a DFT-relaxed cell (PBE, Alexandria); Cu Kα).

Main lines, in order of falling intensity (2θ = 10–80°):
2θ (°)	intensity
36.34	100.0
42.04	50.9
37.34	43.9
37.66	34.2
29.78	30.0
35.20	29.1
36.90	28.4
40.09	27.3
43.19	20.7
71.51	19.7

Structural model:
```
14
Lattice="-2.149 4.362 6.284 2.149 -4.362 6.284 2.149 4.362 -6.284" Properties=species:S:1:pos:R:3 pbc="T T T"
Dy 0.000 0.000 0.000
Dy 0.000 0.000 3.782
Dy 0.000 0.000 8.787
Ga 2.149 -1.270 2.034
Ga 2.149 1.270 2.034
Ga 0.000 4.362 0.000
Ga 0.000 3.092 4.250
Ga 0.000 5.631 4.250
Cu 2.149 -1.911 4.630
Cu 2.149 2.729 0.000
Cu 0.000 2.450 1.654
Cu 2.149 1.911 4.630
Cu 0.000 1.632 6.284
Cu 0.000 6.273 1.654
```

---

[13]
Structure and simulated X-ray powder pattern of LaDyGa2Cu2 (a DFT-relaxed cell (PBE, Alexandria); Cu Kα).

Main lines, in order of falling intensity (2θ = 10–80°):
2θ (°)	intensity
33.57	100.0
40.99	53.4
53.98	25.5
69.95	23.0
65.50	18.2
23.33	16.2
74.67	8.7
48.71	7.6
11.83	7.1
54.68	5.6

Structural model:
```
6
Lattice="4.404 0.000 0.000 -2.202 3.814 0.000 0.000 0.000 7.478" Properties=species:S:1:pos:R:3 pbc="T T T"
La 0.000 0.000 0.000
Dy 0.000 0.000 3.739
Ga 0.000 2.542 2.077
Ga 2.202 1.271 5.401
Cu 0.000 2.542 5.321
Cu 2.202 1.271 2.157
```